Computed powder XRD pattern of LiNiPO4 for copper Kα, from a DFT-relaxed cell (GGA+U, the Materials Project).
No peak broadening, texture or thermal motion is included.

Cell and atoms:
```
data_LiNiPO4
_chemical_formula_sum 'Li4 Ni4 P4 O16'
_cell_length_a 5.5600
_cell_length_b 5.7896
_cell_length_c 7.9303
_cell_angle_alpha 90.00
_cell_angle_beta 90.00
_cell_angle_gamma 90.00
_symmetry_space_group_name_H-M 'I m m a'
_symmetry_Int_Tables_number 74
_symmetry_space_group_name_Hall '-I 2b 2'
loop_
_atom_site_label
_atom_site_type_symbol
_atom_site_fract_x
_atom_site_fract_y
_atom_site_fract_z
Li1 Li 0.2500 0.2500 0.2500
Ni1 Ni 0.0000 0.0000 0.0000
P1 P 0.0000 0.2500 0.6297
O1 O 0.0000 0.0270 0.7384
O2 O 0.2292 0.2500 0.5106
```

Peak list (10 most intense, 10 to 90 degrees two-theta, by angle)
d_spacing  intensity  (hkl)
4.676  26  0 1 1
4.553  41  1 0 1
3.965  40  0 0 2
2.820  20  1 1 2
2.780  40  2 0 0
2.443  100  1 2 1
2.388  62  1 0 3
2.005  35  2 2 0
1.789  19  2 2 2
1.410  46  2 2 4



Computed powder XRD pattern of LiNiP2O7 for copper Kα, from a DFT-relaxed cell (GGA+U, the Materials Project).
No peak broadening, texture or thermal motion is included.

Cell and atoms:
```
data_LiNiP2O7
_chemical_formula_sum 'Li4 Ni4 P8 O28'
_cell_length_a 6.4703
_cell_length_b 9.2677
_cell_length_c 10.4609
_cell_angle_alpha 65.38
_cell_angle_beta 86.06
_cell_angle_gamma 73.24
_symmetry_space_group_name_H-M 'P 1'
_symmetry_Int_Tables_number 1
_symmetry_space_group_name_Hall 'P 1'
loop_
_atom_site_label
_atom_site_type_symbol
_atom_site_fract_x
_atom_site_fract_y
_atom_site_fract_z
Li1 Li 0.0000 0.0000 0.0000
Li2 Li 0.0930 0.7647 0.5305
Li3 Li 0.4929 0.3349 0.4967
Li4 Li 0.6859 0.7712 0.0730
Ni1 Ni 0.3215 0.9328 0.2585
Ni2 Ni 0.4011 0.3217 0.2254
Ni3 Ni 0.6638 0.3378 0.7345
Ni4 Ni 0.7454 0.7265 0.7074
P1 P 0.1152 0.6434 0.2781
P2 P 0.1541 0.3799 0.7722
P3 P 0.3343 0.0240 0.5267
P4 P 0.4560 0.1353 0.0167
P5 P 0.6138 0.5244 0.9453
P6 P 0.7315 0.6387 0.4336
P7 P 0.9196 0.2676 0.1797
P8 P 0.9434 0.0273 0.6824
O1 O 0.0236 0.0941 0.1857
O2 O 0.0435 0.9571 0.8312
O3 O 0.0521 0.5627 0.7402
O4 O 0.0775 0.3454 0.2105
O5 O 0.1053 0.1129 0.5711
O6 O 0.1693 0.7522 0.3418
O7 O 0.2550 0.2914 0.9340
O8 O 0.2892 0.9222 0.4535
O9 O 0.3237 0.5060 0.2900
O10 O 0.3479 0.3536 0.6838
O11 O 0.3996 0.9744 0.0434
O12 O 0.4204 0.4875 0.0294
O13 O 0.4238 0.1667 0.4339
O14 O 0.4636 0.1306 0.1673
O15 O 0.4717 0.9091 0.6630
O16 O 0.5997 0.5332 0.7938
O17 O 0.6033 0.7538 0.2925
O18 O 0.6322 0.5028 0.5261
O19 O 0.6599 0.1558 0.9376
O20 O 0.6686 0.6823 0.9265
O21 O 0.7245 0.2857 0.2695
O22 O 0.7318 0.1649 0.6551
O23 O 0.7792 0.7377 0.5092
O24 O 0.8279 0.3732 0.0176
O25 O 0.9224 0.8889 0.6445
O26 O 0.9609 0.5467 0.3903
O27 O 0.9877 0.2932 0.7686
O28 O 0.9932 0.7482 0.1352
```

Peak list (10 most intense, 10 to 90 degrees two-theta, by angle)
d_spacing  intensity  (hkl)
8.023  100  0 1 1
5.328  39  1 0 -1
5.047  78  1 0 1
4.747  59  0 0 2
4.345  37  1 -1 0
4.003  40  0 2 2
3.790  68  1 2 2
2.918  35  0 3 2
2.889  43  2 0 1
2.591  47  2 2 -1



Computed powder XRD pattern of LiNi4P3O12 for copper Kα, from a DFT-relaxed cell (GGA+U, the Materials Project).
No peak broadening, texture or thermal motion is included.

Cell and atoms:
```
data_LiNi4P3O12
_chemical_formula_sum 'Li4 Ni16 P12 O48'
_cell_length_a 6.6043
_cell_length_b 6.6043
_cell_length_c 18.4222
_cell_angle_alpha 90.00
_cell_angle_beta 90.00
_cell_angle_gamma 90.00
_symmetry_space_group_name_H-M 'I -4 2 d'
_symmetry_Int_Tables_number 122
_symmetry_space_group_name_Hall 'I -4 2bw'
loop_
_atom_site_label
_atom_site_type_symbol
_atom_site_fract_x
_atom_site_fract_y
_atom_site_fract_z
Li1 Li 0.0000 0.0000 0.0000
Ni1 Ni 0.0000 0.0000 0.2722
Ni2 Ni 0.2452 0.2500 0.6250
P1 P 0.0000 0.0000 0.5000
P2 P 0.1475 0.7500 0.1250
O1 O 0.0015 0.2155 0.1915
O2 O 0.0509 0.1959 0.5434
O3 O 0.0579 0.2325 0.3543
```

Peak list (10 most intense, 10 to 90 degrees two-theta, by angle)
d_spacing  intensity  (hkl)
4.165  33  1 1 2
3.218  19  1 0 5
2.916  15  2 1 1
2.684  100  2 0 4
2.335  9  2 2 0
2.037  20  3 1 2
1.727  12  3 1 6
1.651  16  4 0 0
1.640  23  2 2 8
1.406  14  4 2 4



Computed powder XRD pattern of LiNiP2O7 for copper Kα, from a DFT-relaxed cell (GGA+U, the Materials Project).
No peak broadening, texture or thermal motion is included.

Cell and atoms:
```
data_LiNiP2O7
_chemical_formula_sum 'Li2 Ni2 P4 O14'
_cell_length_a 6.4349
_cell_length_b 6.4970
_cell_length_c 6.5595
_cell_angle_alpha 66.65
_cell_angle_beta 84.72
_cell_angle_gamma 81.62
_symmetry_space_group_name_H-M 'P -1'
_symmetry_Int_Tables_number 2
_symmetry_space_group_name_Hall '-P 1'
loop_
_atom_site_label
_atom_site_type_symbol
_atom_site_fract_x
_atom_site_fract_y
_atom_site_fract_z
Li1 Li 0.1237 0.2028 0.3302
Ni1 Ni 0.3468 0.3993 0.7159
P1 P 0.1402 0.7191 0.2609
P2 P 0.3848 0.8616 0.8279
O1 O 0.0257 0.4124 0.7663
O2 O 0.0616 0.8774 0.3805
O3 O 0.2192 0.8838 0.0200
O4 O 0.3019 0.7092 0.7348
O5 O 0.3356 0.5566 0.3705
O6 O 0.3887 0.1039 0.6627
O7 O 0.4001 0.2472 0.0682
```

Peak list (10 most intense, 10 to 90 degrees two-theta, by angle)
d_spacing  intensity  (hkl)
6.362  41  1 0 0
5.399  100  0 1 1
4.292  36  1 0 -1
3.194  59  0 2 1
3.057  26  1 -1 1
3.042  43  1 2 1
3.010  62  0 0 2
2.857  61  2 0 1
2.770  50  2 0 -1
2.340  32  0 1 -2



Computed powder XRD pattern of Li5NiP3O11 for copper Kα, from a DFT-relaxed cell (GGA+U, the Materials Project).
No peak broadening, texture or thermal motion is included.

Cell and atoms:
```
data_Li5NiP3O11
_chemical_formula_sum 'Li10 Ni2 P6 O22'
_cell_length_a 5.3398
_cell_length_b 8.4044
_cell_length_c 9.5640
_cell_angle_alpha 84.04
_cell_angle_beta 88.55
_cell_angle_gamma 85.91
_symmetry_space_group_name_H-M 'P -1'
_symmetry_Int_Tables_number 2
_symmetry_space_group_name_Hall '-P 1'
loop_
_atom_site_label
_atom_site_type_symbol
_atom_site_fract_x
_atom_site_fract_y
_atom_site_fract_z
Li1 Li 0.0135 0.0016 0.3400
Li2 Li 0.1794 0.6178 0.8172
Li3 Li 0.2209 0.3662 0.6722
Li4 Li 0.2765 0.6732 0.1566
Li5 Li 0.3206 0.3794 0.3457
Ni1 Ni 0.0000 0.0000 0.0000
Ni2 Ni 0.5000 0.0000 0.5000
P1 P 0.2320 0.3269 0.0232
P2 P 0.2755 0.7040 0.4843
P3 P 0.4701 0.0433 0.1861
O1 O 0.0129 0.7594 0.9818
O2 O 0.1181 0.8609 0.5129
O3 O 0.1574 0.6170 0.3696
O4 O 0.1997 0.4353 0.1425
O5 O 0.2552 0.0222 0.8165
O6 O 0.2697 0.9318 0.1530
O7 O 0.3079 0.5933 0.6244
O8 O 0.3232 0.4025 0.8811
O9 O 0.3865 0.1185 0.3216
O10 O 0.4601 0.2381 0.5665
O11 O 0.4606 0.1943 0.0660
```

Peak list (10 most intense, 10 to 90 degrees two-theta, by angle)
d_spacing  intensity  (hkl)
8.339  100  0 1 0
4.755  81  0 0 2
4.611  40  1 0 -1
4.018  72  -1 1 1
3.902  33  1 -1 1
3.302  40  1 2 1
2.780  31  0 3 0
2.589  39  2 1 0
2.516  48  1 -1 3
2.228  26  0 1 -4



Computed powder XRD pattern of Li2NiP2O7 for copper Kα, from a DFT-relaxed cell (GGA+U, the Materials Project).
No peak broadening, texture or thermal motion is included.

Cell and atoms:
```
data_Li2NiP2O7
_chemical_formula_sum 'Li4 Ni2 P4 O14'
_cell_length_a 5.0323
_cell_length_b 6.8775
_cell_length_c 8.2478
_cell_angle_alpha 66.95
_cell_angle_beta 89.02
_cell_angle_gamma 89.99
_symmetry_space_group_name_H-M 'P -1'
_symmetry_Int_Tables_number 2
_symmetry_space_group_name_Hall '-P 1'
loop_
_atom_site_label
_atom_site_type_symbol
_atom_site_fract_x
_atom_site_fract_y
_atom_site_fract_z
Li1 Li 0.2106 0.1599 0.0025
Li2 Li 0.2626 0.1863 0.4337
Ni1 Ni 0.2727 0.7689 0.2793
P1 P 0.2176 0.5438 0.6924
P2 P 0.2722 0.8785 0.8235
O1 O 0.0785 0.4822 0.3357
O2 O 0.0926 0.0249 0.6792
O3 O 0.1921 0.8689 0.0072
O4 O 0.2224 0.6372 0.8464
O5 O 0.3630 0.7089 0.5330
O6 O 0.3641 0.3345 0.7765
O7 O 0.4280 0.0776 0.2181
```

Peak list (10 most intense, 10 to 90 degrees two-theta, by angle)
d_spacing  intensity  (hkl)
6.198  74  0 1 1
3.952  100  1 -1 0
3.925  64  1 1 0
3.794  90  0 0 2
2.838  63  1 2 1
2.749  22  0 1 3
2.515  42  2 0 0
2.324  17  -2 1 1
2.287  18  1 2 -1
2.276  37  0 3 1